Calculated X-ray powder pattern
Compound: U2Si3Pd
Radiation: Cu Kα X-rays
Structure: a structure optimized by DFT (GGA-PBE)
No peak broadening, texture or thermal motion is included.

Cell and atoms:
a = 3.7986 Å, b = 4.1369 Å, c = 7.1598 Å
α = 90.00°, β = 90.00°, γ = 90.00°
Element x y z (fractional)
1 U 0.0000 0.0000 0.0000
2 U 0.0000 0.5000 0.4770
3 Si 0.5000 0.0000 0.3205
4 Si 0.5000 0.0000 0.6457
5 Si 0.5000 0.5000 0.1607
6 Pd 0.5000 0.5000 0.8220

Principal peaks in the range 2θ from 10° to 80°, sorted by position:
24.9°, rel. 47; 34.4°, rel. 100; 43.8°, rel. 34; 56.8°, rel. 24; 66.9°, rel. 20; 74.4°, rel. 22

Calculated X-ray powder pattern
Compound: Y3Si3Pd2
Radiation: Cu Kα X-rays
Structure: a structure optimized by DFT (GGA-PBE)
No peak broadening, texture or thermal motion is included.

Cell and atoms:
a = 5.6581 Å, b = 5.6581 Å, c = 14.1535 Å
α = 90.00°, β = 90.00°, γ = 135.68°
Element x y z (fractional)
1 Y 0.0870 0.9130 0.6110
2 Y 0.0870 0.9130 0.8890
3 Y 0.3656 0.6344 0.7500
4 Y 0.6344 0.3656 0.2500
5 Y 0.9130 0.0870 0.1110
6 Y 0.9130 0.0870 0.3890
7 Si 0.3386 0.6614 0.2500
8 Si 0.3943 0.6057 0.5390
9 Si 0.3943 0.6057 0.9610
10 Si 0.6057 0.3943 0.0390
11 Si 0.6057 0.3943 0.4610
12 Si 0.6614 0.3386 0.7500
13 Pd 0.2047 0.7953 0.0945
14 Pd 0.2047 0.7953 0.4055
15 Pd 0.7953 0.2047 0.5945
16 Pd 0.7953 0.2047 0.9055

Principal peaks in the range 2θ from 10° to 80°, sorted by position:
33.8°, rel. 81; 34.0°, rel. 100; 38.4°, rel. 68; 39.3°, rel. 37; 42.1°, rel. 47; 42.4°, rel. 53

Calculated X-ray powder pattern
Compound: YSiPd
Radiation: Cu Kα X-rays
Structure: a structure optimized by DFT (GGA-PBE)
No peak broadening, texture or thermal motion is included.

Cell and atoms:
a = 5.6117 Å, b = 5.6117 Å, c = 6.9966 Å
α = 128.47°, β = 128.47°, γ = 44.44°
Element x y z (fractional)
1 Y 0.0507 0.0507 0.2905
2 Y 0.9493 0.9493 0.7095
3 Si 0.3488 0.3488 0.2964
4 Si 0.6512 0.6512 0.7036
5 Pd 0.3167 0.3167 0.8801
6 Pd 0.6833 0.6833 0.1199

Principal peaks in the range 2θ from 10° to 80°, sorted by position:
34.0°, rel. 69; 34.7°, rel. 47; 35.2°, rel. 100; 40.4°, rel. 32; 41.1°, rel. 53; 42.6°, rel. 37

Calculated X-ray powder pattern
Compound: YSi2Pd2
Radiation: Cu Kα X-rays
Structure: a structure optimized by DFT (GGA-PBE)
No peak broadening, texture or thermal motion is included.

Cell and atoms:
a = 5.8009 Å, b = 5.8009 Å, c = 5.8009 Å
α = 138.03°, β = 138.03°, γ = 60.86°
Element x y z (fractional)
1 Y 0.0000 0.0000 0.0000
2 Si 0.3836 0.3836 0.0000
3 Si 0.6164 0.6164 0.0000
4 Pd 0.2500 0.7500 0.5000
5 Pd 0.7500 0.2500 0.5000

Principal peaks in the range 2θ from 10° to 80°, sorted by position:
17.7°, rel. 21; 34.5°, rel. 17; 35.4°, rel. 100; 35.9°, rel. 15; 43.6°, rel. 37; 74.7°, rel. 22

Calculated X-ray powder pattern
Compound: YSiPd
Radiation: Cu Kα X-rays
Structure: a structure optimized by DFT (GGA-PBE)
No peak broadening, texture or thermal motion is included.

Cell and atoms:
a = 4.3406 Å, b = 14.0321 Å, c = 7.4836 Å
α = 90.00°, β = 90.00°, γ = 90.00°
Element x y z (fractional)
1 Y 0.2500 0.0015 0.2101
2 Y 0.2500 0.2500 0.2996
3 Y 0.2500 0.4985 0.2101
4 Y 0.2500 0.7500 0.2924
5 Y 0.7500 0.2500 0.7076
6 Y 0.7500 0.5015 0.7899
7 Y 0.7500 0.7500 0.7004
8 Y 0.7500 0.9985 0.7899
9 Si 0.2500 0.1038 0.5916
10 Si 0.2500 0.3962 0.5916
11 Si 0.2500 0.6572 0.9095
12 Si 0.2500 0.8428 0.9095
13 Si 0.7500 0.1572 0.0905
14 Si 0.7500 0.3428 0.0905
15 Si 0.7500 0.6038 0.4084
16 Si 0.7500 0.8962 0.4084
17 Pd 0.2500 0.1421 0.9231
18 Pd 0.2500 0.3579 0.9231
19 Pd 0.2500 0.5943 0.5818
20 Pd 0.2500 0.9057 0.5818
21 Pd 0.7500 0.0943 0.4182
22 Pd 0.7500 0.4057 0.4182
23 Pd 0.7500 0.6421 0.0769
24 Pd 0.7500 0.8579 0.0769

Principal peaks in the range 2θ from 10° to 80°, sorted by position:
24.6°, rel. 26; 30.5°, rel. 21; 34.1°, rel. 26; 35.0°, rel. 100; 41.6°, rel. 27; 41.8°, rel. 41

Calculated X-ray powder pattern
Compound: YSiPd2
Radiation: Cu Kα X-rays
Structure: a structure optimized by DFT (GGA-PBE)
No peak broadening, texture or thermal motion is included.

Cell and atoms:
a = 7.3681 Å, b = 7.0097 Å, c = 5.5362 Å
α = 90.00°, β = 90.00°, γ = 90.00°
Element x y z (fractional)
1 Y 0.0284 0.2500 0.1395
2 Y 0.4716 0.7500 0.6395
3 Y 0.5284 0.2500 0.3605
4 Y 0.9716 0.7500 0.8605
5 Si 0.1221 0.7500 0.3595
6 Si 0.3779 0.2500 0.8595
7 Si 0.6221 0.7500 0.1405
8 Si 0.8779 0.2500 0.6405
9 Pd 0.1775 0.0521 0.5948
10 Pd 0.1775 0.4479 0.5948
11 Pd 0.3225 0.5521 0.0948
12 Pd 0.3225 0.9479 0.0948
13 Pd 0.6775 0.0521 0.9052
14 Pd 0.6775 0.4479 0.9052
15 Pd 0.8225 0.5521 0.4052
16 Pd 0.8225 0.9479 0.4052

Principal peaks in the range 2θ from 10° to 80°, sorted by position:
32.6°, rel. 72; 34.6°, rel. 84; 35.3°, rel. 93; 37.0°, rel. 83; 40.2°, rel. 100; 43.8°, rel. 68

Number 3 is which compound?
YSiPd